1.
Calculated X-ray powder pattern
Compound: CaPr2I6
Radiation: Cu Kα
Structure: a cell relaxed with GGA-PBE

Largest 10 diffraction maxima, in order of rising 2θ, 10 to 80 degrees two-theta:
| 2theta | I/Imax |
| --- | --- |
| 10.70 | 62 |
| 24.22 | 14 |
| 24.65 | 25 |
| 27.36 | 48 |
| 27.62 | 100 |
| 37.18 | 20 |
| 37.57 | 38 |
| 40.92 | 30 |
| 41.64 | 17 |
| 50.55 | 19 |

```
data_CaPr2I6
_chemical_formula_sum 'Ca2 Pr4 I12'
_space_group_name_H-M_alt 'C 1 2/m 1'
_space_group_IT_number 12
_cell_length_a 20.872
_cell_length_b 4.338
_cell_length_c 9.748
_cell_angle_alpha 90.00
_cell_angle_beta 110.44
_cell_angle_gamma 90.00
loop_
_space_group_symop_operation_xyz
'x,y,z'
'-x,-y,-z'
'-x,y,-z'
'x,-y,z'
'x+1/2,y+1/2,z'
'-x+1/2,-y+1/2,-z'
'-x+1/2,y+1/2,-z'
'x+1/2,-y+1/2,z'
loop_
_atom_site_label
_atom_site_type_symbol
_atom_site_fract_x
_atom_site_fract_y
_atom_site_fract_z
_atom_site_occupancy
Ca1 Ca 0.000 0.000 0.000 1
Pr1 Pr 0.180 0.500 0.365 1
I1 I 0.011 0.500 0.238 1
I2 I 0.160 0.000 0.594 1
I3 I 0.162 0.000 0.105 1
```

2.
Calculated X-ray powder pattern
Compound: Rb5CaI6
Radiation: Cu Kα
Structure: a cell relaxed with GGA-PBE

Largest 10 diffraction maxima, in order of rising 2θ, 10 to 80 degrees two-theta:
| 2theta | I/Imax |
| --- | --- |
| 23.89 | 100 |
| 33.70 | 12 |
| 33.87 | 24 |
| 34.22 | 22 |
| 34.33 | 11 |
| 41.46 | 7 |
| 42.27 | 11 |
| 48.90 | 10 |
| 54.91 | 8 |
| 61.18 | 6 |

```
data_Rb5CaI6
_chemical_formula_sum 'Rb10 Ca2 I12'
_space_group_name_H-M_alt 'C 1 2/m 1'
_space_group_IT_number 12
_cell_length_a 9.086
_cell_length_b 15.673
_cell_length_c 9.209
_cell_angle_alpha 90.00
_cell_angle_beta 108.89
_cell_angle_gamma 90.00
loop_
_space_group_symop_operation_xyz
'x,y,z'
'-x,-y,-z'
'-x,y,-z'
'x,-y,z'
'x+1/2,y+1/2,z'
'-x+1/2,-y+1/2,-z'
'-x+1/2,y+1/2,-z'
'x+1/2,-y+1/2,z'
loop_
_atom_site_label
_atom_site_type_symbol
_atom_site_fract_x
_atom_site_fract_y
_atom_site_fract_z
_atom_site_occupancy
Rb1 Rb 0.000 0.000 0.000 1
Rb2 Rb 0.000 0.166 0.500 1
Rb3 Rb 0.000 0.329 0.000 1
Ca1 Ca 0.000 0.500 0.500 1
I1 I 0.216 0.500 0.279 1
I2 I 0.218 0.355 0.718 1
```